No. 1
The following is a simulated powder XRD pattern of Tm5InPd2. It was derived from a cell relaxed with PBE, using Cu Kα (weighted mean of Kα1 and Kα2).
Kinematic intensities with the Lorentz-polarization factor, no thermal factor.

The 8 most intense peaks (10° ≤ 2θ ≤ 80°), most intense first:
| (hkl) | 2theta | d [Å] | I_rel |
| --- | --- | --- | --- |
| 2 1 3 | 32.7 | 2.735 | 100 |
| 3 1 0 | 36.7 | 2.451 | 52 |
| 2 0 4 | 35.5 | 2.529 | 25 |
| 4 4 0 | 68.5 | 1.370 | 19 |
| 1 1 4 | 31.4 | 2.851 | 19 |
| 4 2 0 | 52.8 | 1.732 | 18 |
| 0 0 8 | 55.0 | 1.670 | 13 |
| 3 3 4 | 57.5 | 1.603 | 13 |

Atomic structure:
abc: 7.7511 7.7511 13.3495
angles: 90.00 90.00 90.00
Space group I4/mcm (No. 140)
Inequivalent atoms, fractional coordinates:
Tm  0.0000  0.0000  0.0000
Tm  0.1579  0.3421  0.1409
In  0.0000  0.0000  0.2500
Pd  0.1351  0.3649  0.5000

=====

No. 2
The following is a simulated powder XRD pattern of RbNdTlSe3. It was derived from a cell relaxed with PBE, using Cu Kα (weighted mean of Kα1 and Kα2).
Kinematic intensities with the Lorentz-polarization factor, no thermal factor.

The 8 most intense peaks (10° ≤ 2θ ≤ 80°), most intense first:
| (hkl) | 2theta | d [Å] | I_rel |
| --- | --- | --- | --- |
| 1 0 -1 | 11.0 | 8.031 | 100 |
| 2 1 0 | 29.4 | 3.042 | 77 |
| 1 1 1 | 25.5 | 3.490 | 35 |
| 1 0 -4 | 31.0 | 2.882 | 23 |
| 1 1 4 | 42.8 | 2.112 | 21 |
| 0 2 0 | 42.1 | 2.147 | 21 |
| 2 1 1 | 32.1 | 2.788 | 20 |
| 3 1 -1 | 36.5 | 2.461 | 19 |

Atomic structure:
abc: 9.0148 4.2949 11.5334
angles: 90.00 107.11 90.00
Space group P2_1/m (No. 11)
Inequivalent atoms, fractional coordinates:
Rb  0.2363  0.2500  0.2684
Nd  0.3430  0.7500  0.8573
Tl  0.1323  0.2500  0.5772
Se  0.0987  0.2500  0.8081
Se  0.3386  0.7500  0.5888
Se  0.4246  0.7500  0.1213

=====

No. 3
The following is a simulated powder XRD pattern of Ba2TlPtO6. It was derived from a cell relaxed with PBE, using Cu Kα (weighted mean of Kα1 and Kα2).
Kinematic intensities with the Lorentz-polarization factor, no thermal factor.

The 8 most intense peaks (10° ≤ 2θ ≤ 80°), most intense first:
| (hkl) | 2theta | d [Å] | I_rel |
| --- | --- | --- | --- |
| 1 1 0 | 29.2 | 3.055 | 100 |
| 3 0 0 | 51.8 | 1.765 | 36 |
| 0 1 8 | 29.1 | 3.068 | 35 |
| 1 0 7 | 26.7 | 3.340 | 32 |
| 0 2 7 | 40.0 | 2.255 | 26 |
| 0 1 2 | 17.8 | 4.993 | 21 |
| 1 0 10 | 34.3 | 2.618 | 19 |
| 2 2 0 | 60.6 | 1.528 | 17 |

Atomic structure:
abc: 6.1110 6.1110 30.1190
angles: 90.00 90.00 120.00
Space group R-3m (No. 166, hexagonal axes)
Inequivalent atoms, fractional coordinates:
Ba  0.0000  0.0000  0.1290
Ba  0.0000  0.0000  0.2757
Tl  0.0000  0.0000  0.4035
Pt  0.0000  0.0000  0.0000
Pt  0.0000  0.0000  0.5000
O  0.0243  0.5121  0.1265
O  0.0436  0.5218  0.7086

=====

No. 4
The following is a simulated powder XRD pattern of La8PrDy4. It was derived from a cell relaxed with PBE, using Cu Kα (weighted mean of Kα1 and Kα2).
Kinematic intensities with the Lorentz-polarization factor, no thermal factor.

The 8 most intense peaks (10° ≤ 2θ ≤ 80°), most intense first:
| (hkl) | 2theta | d [Å] | I_rel |
| --- | --- | --- | --- |
| 0 2 4 | 30.6 | 2.919 | 100 |
| 2 0 5 | 32.0 | 2.800 | 37 |
| 2 0 8 | 37.3 | 2.411 | 35 |
| 2 2 0 | 49.7 | 1.834 | 29 |
| 0 0 9 | 27.1 | 3.293 | 28 |
| 2 2 9 | 57.5 | 1.602 | 21 |
| 0 2 1 | 28.3 | 3.158 | 18 |
| 0 2 13 | 49.2 | 1.852 | 14 |

Atomic structure:
abc: 7.3354 7.3354 29.6405
angles: 90.00 90.00 120.00
Space group R-3m (No. 166, hexagonal axes)
Inequivalent atoms, fractional coordinates:
La  0.0000  0.0000  0.2120
La  0.0354  0.5177  0.7637
Pr  0.0000  0.0000  0.5000
Dy  0.0000  0.0000  0.0000
Dy  0.0000  0.5000  0.0000

=====

No. 5
The following is a simulated powder XRD pattern of Mg2H3Ir3. It was derived from a cell relaxed with PBE, using Cu Kα (weighted mean of Kα1 and Kα2).
Kinematic intensities with the Lorentz-polarization factor, no thermal factor.

The 8 most intense peaks (10° ≤ 2θ ≤ 80°), most intense first:
| (hkl) | 2theta | d [Å] | I_rel |
| --- | --- | --- | --- |
| 0 0 1 | 16.2 | 5.487 | 100 |
| 3 1 0 | 40.3 | 2.237 | 57 |
| 0 2 0 | 41.1 | 2.197 | 43 |
| 1 1 -2 | 40.0 | 2.252 | 34 |
| 1 1 -1 | 28.2 | 3.170 | 33 |
| 2 0 1 | 28.7 | 3.112 | 28 |
| 3 1 1 | 44.3 | 2.045 | 20 |
| 1 1 2 | 40.9 | 2.208 | 19 |

Atomic structure:
abc: 7.8046 4.3919 5.4922
angles: 90.00 92.43 90.00
Space group Cm (No. 8)
Inequivalent atoms, fractional coordinates:
Mg  0.0000  0.0000  0.0000
Mg  0.1765  0.5000  0.2984
H  0.3129  0.0000  0.0402
H  0.4238  0.2385  0.3220
Ir  0.0068  0.0000  0.5044
Ir  0.1595  0.5000  0.7798
Ir  0.3309  0.0000  0.7560

=====

No. 6
The following is a simulated powder XRD pattern of LiYSc4Se8. It was derived from a cell relaxed with PBE, using Cu Kα (weighted mean of Kα1 and Kα2).
Kinematic intensities with the Lorentz-polarization factor, no thermal factor.

The 8 most intense peaks (10° ≤ 2θ ≤ 80°), most intense first:
| (hkl) | 2theta | d [Å] | I_rel |
| --- | --- | --- | --- |
| 0 2 4 | 31.5 | 2.836 | 100 |
| 2 2 0 | 45.6 | 1.990 | 44 |
| 2 0 8 | 44.9 | 2.021 | 43 |
| 2 0 2 | 27.4 | 3.258 | 38 |
| 1 0 1 | 13.6 | 6.516 | 19 |
| 4 0 4 | 56.5 | 1.629 | 18 |
| 2 4 4 | 75.4 | 1.261 | 15 |
| 1 1 3 | 26.1 | 3.415 | 15 |

Atomic structure:
abc: 7.9613 7.9613 19.9498
angles: 90.00 90.00 120.00
Space group R3m (No. 160, hexagonal axes)
Inequivalent atoms, fractional coordinates:
Li  0.0000  0.0000  0.0000
Y  0.0000  0.0000  0.3694
Sc  0.0000  0.0000  0.7455
Sc  0.0167  0.5084  0.8753
Se  0.0000  0.0000  0.1307
Se  0.0000  0.0000  0.6141
Se  0.0118  0.5059  0.1294
Se  0.1714  0.3428  0.9500

=====

No. 7
The following is a simulated powder XRD pattern of CsIn2CuBr8. It was derived from a cell relaxed with PBE, using Cu Kα (weighted mean of Kα1 and Kα2).
Kinematic intensities with the Lorentz-polarization factor, no thermal factor.

The 8 most intense peaks (10° ≤ 2θ ≤ 80°), most intense first:
| (hkl) | 2theta | d [Å] | I_rel |
| --- | --- | --- | --- |
| 2 -1 3 | 26.9 | 3.317 | 100 |
| 1 0 4 | 18.6 | 4.769 | 78 |
| 2 -1 12 | 43.7 | 2.072 | 65 |
| 1 1 6 | 30.9 | 2.895 | 63 |
| 3 0 0 | 44.8 | 2.023 | 62 |
| 0 0 9 | 26.0 | 3.426 | 53 |
| 3 0 9 | 52.5 | 1.742 | 40 |
| 1 1 0 | 25.4 | 3.504 | 33 |

Atomic structure:
abc: 7.0085 7.0085 30.8380
angles: 90.00 90.00 120.00
Space group R-3 (No. 148, hexagonal axes)
Inequivalent atoms, fractional coordinates:
Cs  0.0000  0.0000  0.0000
In  0.0000  0.0000  0.2406
Cu  0.0000  0.0000  0.5000
Br  0.0000  0.0000  0.3238
Br  0.0106  0.6938  0.5515

=====

No. 8
The following is a simulated powder XRD pattern of RbTl2TcCl8. It was derived from a cell relaxed with PBE, using Cu Kα (weighted mean of Kα1 and Kα2).
Kinematic intensities with the Lorentz-polarization factor, no thermal factor.

The 8 most intense peaks (10° ≤ 2θ ≤ 80°), most intense first:
| (hkl) | 2theta | d [Å] | I_rel |
| --- | --- | --- | --- |
| 1 0 0 | 15.6 | 5.686 | 100 |
| 1 2 1 | 30.9 | 2.895 | 75 |
| 0 2 1 | 23.3 | 3.819 | 73 |
| 1 0 -2 | 24.5 | 3.638 | 42 |
| 2 0 -2 | 32.1 | 2.788 | 32 |
| 2 2 -1 | 35.1 | 2.560 | 29 |
| 2 0 2 | 48.8 | 1.865 | 28 |
| 1 2 -3 | 41.2 | 2.189 | 25 |

Atomic structure:
abc: 6.1718 9.1773 7.4752
angles: 90.00 112.88 90.00
Space group P2/m (No. 10)
Inequivalent atoms, fractional coordinates:
Rb  0.0000  0.0000  0.0000
Tl  0.0000  0.2453  0.5000
Tc  0.0000  0.5000  0.0000
Cl  0.2288  0.5000  0.8137
Cl  0.2406  0.3182  0.2083
Cl  0.2855  0.0000  0.7029

=====

No. 9
The following is a simulated powder XRD pattern of AcLuSnBi. It was derived from a cell relaxed with PBE, using Cu Kα (weighted mean of Kα1 and Kα2).
Kinematic intensities with the Lorentz-polarization factor, no thermal factor.

The 8 most intense peaks (10° ≤ 2θ ≤ 80°), most intense first:
| (hkl) | 2theta | d [Å] | I_rel |
| --- | --- | --- | --- |
| 2 2 0 | 31.8 | 2.815 | 100 |
| 4 2 2 | 56.6 | 1.625 | 40 |
| 4 0 0 | 45.6 | 1.991 | 19 |
| 6 2 0 | 75.5 | 1.259 | 18 |
| 4 4 0 | 66.4 | 1.408 | 13 |
| 1 1 1 | 19.3 | 4.597 | 4 |
| 3 1 1 | 37.5 | 2.401 | 2 |
| 3 3 1 | 49.9 | 1.827 | 1 |

Atomic structure:
abc: 7.9625 7.9625 7.9625
angles: 90.00 90.00 90.00
Space group F-43m (No. 216)
Inequivalent atoms, fractional coordinates:
Ac  0.0000  0.0000  0.0000
Lu  0.0000  0.0000  0.5000
Sn  0.2500  0.2500  0.2500
Bi  0.2500  0.2500  0.7500

=====

No. 10
The following is a simulated powder XRD pattern of ScPAu. It was derived from a cell relaxed with PBE, using Cu Kα (weighted mean of Kα1 and Kα2).
Kinematic intensities with the Lorentz-polarization factor, no thermal factor.

The 8 most intense peaks (10° ≤ 2θ ≤ 80°), most intense first:
| (hkl) | 2theta | d [Å] | I_rel |
| --- | --- | --- | --- |
| 1 0 1 | 34.6 | 2.592 | 100 |
| 1 0 0 | 25.2 | 3.540 | 58 |
| 1 1 0 | 44.3 | 2.044 | 38 |
| 0 0 1 | 23.4 | 3.806 | 26 |
| 0 2 1 | 57.4 | 1.605 | 23 |
| 0 1 2 | 54.8 | 1.676 | 22 |
| 2 1 1 | 75.3 | 1.262 | 21 |
| 1 1 1 | 50.7 | 1.801 | 21 |

Atomic structure:
abc: 4.0879 4.0879 3.8061
angles: 90.00 90.00 120.00
Space group P3m1 (No. 156)
Inequivalent atoms, fractional coordinates:
Sc  0.0000  0.0000  0.0000
P  0.3333  0.6667  0.6255
Au  0.6667  0.3333  0.4500

=====

No. 11
The following is a simulated powder XRD pattern of Tb4Nd3Tm8. It was derived from a cell relaxed with PBE, using Cu Kα (weighted mean of Kα1 and Kα2).
Kinematic intensities with the Lorentz-polarization factor, no thermal factor.

The 8 most intense peaks (10° ≤ 2θ ≤ 80°), most intense first:
| (hkl) | 2theta | d [Å] | I_rel |
| --- | --- | --- | --- |
| 4 0 -2 | 30.9 | 2.894 | 100 |
| 4 0 0 | 31.1 | 2.878 | 48 |
| 4 4 -2 | 42.1 | 2.148 | 46 |
| 0 4 0 | 27.8 | 3.206 | 35 |
| 2 4 -1 | 31.9 | 2.803 | 30 |
| 4 4 0 | 42.2 | 2.142 | 22 |
| 4 8 -2 | 66.8 | 1.401 | 20 |
| 8 0 -2 | 55.2 | 1.665 | 18 |

Atomic structure:
abc: 13.3094 12.8239 6.6960
angles: 90.00 120.12 90.00
Space group C2/m (No. 12)
Inequivalent atoms, fractional coordinates:
Tb  0.0000  0.0000  0.0000
Tb  0.0000  0.0000  0.5000
Tb  0.2500  0.2500  0.0000
Nd  0.0000  0.5000  0.5000
Nd  0.2500  0.2500  0.5000
Tm  0.0000  0.2533  0.5000
Tm  0.0000  0.3616  0.0000
Tm  0.2341  0.5000  0.4712
Tm  0.2359  0.5000  0.9935

=====

No. 12
The following is a simulated powder XRD pattern of Ho6In10Co. It was derived from a cell relaxed with PBE, using Cu Kα (weighted mean of Kα1 and Kα2).
Kinematic intensities with the Lorentz-polarization factor, no thermal factor.

The 8 most intense peaks (10° ≤ 2θ ≤ 80°), most intense first:
| (hkl) | 2theta | d [Å] | I_rel |
| --- | --- | --- | --- |
| 3 -1 1 | 33.7 | 2.657 | 100 |
| 1 1 2 | 35.6 | 2.521 | 78 |
| 3 0 0 | 34.4 | 2.605 | 49 |
| 4 -2 1 | 42.7 | 2.115 | 20 |
| 2 1 0 | 30.3 | 2.954 | 20 |
| 5 0 2 | 67.4 | 1.390 | 19 |
| 4 -2 2 | 50.4 | 1.812 | 18 |
| 3 -1 3 | 54.9 | 1.671 | 16 |

Atomic structure:
abc: 9.0235 9.0235 6.0800
angles: 90.00 90.00 120.00
Space group P-31m (No. 162)
Inequivalent atoms, fractional coordinates:
Ho  0.0000  0.3875  0.2752
In  0.0000  0.2320  0.7906
In  0.3333  0.6667  0.0000
In  0.3333  0.6667  0.5000
Co  0.0000  0.0000  0.5000

=====

No. 13
The following is a simulated powder XRD pattern of Dy5Ru4Pt. It was derived from a cell relaxed with PBE, using Cu Kα (weighted mean of Kα1 and Kα2).
Kinematic intensities with the Lorentz-polarization factor, no thermal factor.

The 8 most intense peaks (10° ≤ 2θ ≤ 80°), most intense first:
| (hkl) | 2theta | d [Å] | I_rel |
| --- | --- | --- | --- |
| 1 0 5 | 37.3 | 2.409 | 100 |
| 1 1 0 | 37.1 | 2.426 | 51 |
| 2 1 5 | 67.0 | 1.397 | 36 |
| 2 0 0 | 53.4 | 1.715 | 18 |
| 1 1 10 | 67.5 | 1.388 | 17 |
| 2 0 10 | 79.6 | 1.205 | 11 |
| 0 0 10 | 54.2 | 1.692 | 8 |
| 2 2 0 | 78.9 | 1.213 | 6 |

Atomic structure:
abc: 3.4309 3.4309 16.9183
angles: 90.00 90.00 90.00
Space group P4/mmm (No. 123)
Inequivalent atoms, fractional coordinates:
Dy  0.0000  0.0000  0.0000
Dy  0.0000  0.0000  0.1987
Dy  0.0000  0.0000  0.3966
Ru  0.5000  0.5000  0.0997
Ru  0.5000  0.5000  0.3010
Pt  0.5000  0.5000  0.5000